Theoretical powder diffractogram of Tl2CrNiCl6 for Cu Kα, 1.54184 Å, from the PBE geometry in Alexandria.
Kinematic intensities with the Lorentz-polarization factor, no thermal factor.

Largest 10 diffraction maxima, by angle, 10° ≤ 2θ ≤ 90°:
19.4°, intensity 61
23.2°, intensity 44
25.5°, intensity 100
29.6°, intensity 41
32.3°, intensity 70
34.7°, intensity 55
39.5°, intensity 37
47.6°, intensity 24
52.4°, intensity 36
54.1°, intensity 25

```
Tl2CrNiCl6
1.0
3.4902 2.0151 11.6024
-3.4902 2.0151 11.6024
0.0000 -4.0301 11.6024
Tl Cr Ni Cl
4 2 2 12
Cartesian
0.0000 0.0000 4.1114 Tl
0.0000 0.0000 10.2703 Tl
0.0000 0.0000 24.5368 Tl
0.0000 0.0000 30.6957 Tl
0.0000 0.0000 14.4100 Cr
0.0000 0.0000 20.3971 Cr
0.0000 0.0000 0.0000 Ni
0.0000 0.0000 17.4036 Ni
-1.6511 -0.9533 15.8988 Cl
0.0000 -2.0055 13.0344 Cl
-1.7368 1.0027 13.0344 Cl
-1.7368 -1.0027 21.7727 Cl
0.0000 -1.9066 18.9083 Cl
-1.6511 0.9533 18.9083 Cl
1.6512 -0.9533 15.8988 Cl
0.0000 1.9066 15.8988 Cl
1.7368 1.0027 13.0344 Cl
1.7368 -1.0027 21.7728 Cl
0.0000 2.0055 21.7728 Cl
1.6512 0.9533 18.9083 Cl
```